Simulated powder diffraction line list
Compound: NaSe2O6
Radiation: CuKα
Structure: a GGA-PBE-relaxed structure
Peak positions follow from Bragg's law for the DFT cell and can differ from measured ones.

Structural model:
```
NaSe2O6
1.0
5.960 0.000 0.000
0.000 5.249 0.000
-5.914 0.000 10.408
Na Se O
2 4 12
Cartesian
0.000 0.000 0.000
-2.957 2.625 5.204
-0.043 0.929 3.455
-3.000 1.696 8.659
3.046 3.554 1.749
0.089 4.321 6.953
-1.656 1.250 3.645
-4.613 1.375 8.849
0.561 1.269 1.939
-2.396 1.356 7.143
-0.846 3.834 5.675
2.111 4.040 0.471
-2.066 1.210 9.937
0.892 1.415 4.733
2.442 3.894 3.265
-0.515 3.980 8.469
4.659 3.874 1.559
1.702 4.000 6.763
```

Most intense lines, 2θ = 10–90°, by intensity:
two_theta  I_rel
24.13  100
22.57  15
17.06  11
29.98  10
34.16  9
29.86  8
17.18  8
38.45  8
29.74  7
30.89  7


Simulated powder diffraction line list
Compound: Na2Se2O7
Radiation: CuKα
Structure: a GGA-PBE-relaxed structure
Peak positions follow from Bragg's law for the DFT cell and can differ from measured ones.

Structural model:
```
Na2Se2O7
1.0
7.161 0.000 0.000
0.860 7.161 0.000
0.845 3.006 6.572
Na Se O
4 4 14
Cartesian
1.075 2.683 1.542
3.460 6.436 2.588
5.406 3.731 3.984
7.791 7.484 5.029
1.855 3.924 4.772
4.215 8.338 5.683
4.651 1.829 0.888
7.012 6.243 1.800
1.089 7.075 2.523
1.383 5.169 5.734
2.587 2.844 6.024
3.122 7.554 4.739
3.042 4.273 3.677
3.491 4.860 0.677
3.227 1.487 1.646
5.639 8.680 4.926
5.375 5.307 5.895
5.825 5.894 2.895
5.744 2.613 1.833
6.280 7.323 0.548
7.484 4.998 0.838
7.778 3.092 4.049
```

Most intense lines, 2θ = 10–90°, by intensity:
two_theta  I_rel
27.38  100
19.07  84
27.70  81
17.89  67
29.61  59
26.38  53
26.15  52
29.40  46
24.76  45
27.14  24


Simulated powder diffraction line list
Compound: Na2SeO9
Radiation: CuKα
Structure: a GGA-PBE-relaxed structure
Peak positions follow from Bragg's law for the DFT cell and can differ from measured ones.

Structural model:
```
Na2SeO9
1.0
7.880 0.000 0.000
0.000 7.880 0.000
0.000 0.000 12.039
Na Se O
8 4 36
Cartesian
0.000 1.457 0.000
0.000 6.423 6.019
1.457 0.000 9.029
1.983 3.940 3.010
3.940 1.983 6.019
3.940 5.897 0.000
5.897 3.940 9.029
6.423 0.000 3.010
0.000 1.521 6.019
0.000 6.359 0.000
1.521 0.000 3.010
6.359 0.000 9.029
0.513 3.854 8.410
0.513 4.027 9.648
0.532 1.149 2.221
0.532 6.731 3.799
1.149 0.532 6.808
1.149 7.348 11.250
1.409 1.409 4.515
1.409 6.471 1.505
2.240 2.816 11.890
2.240 5.064 6.169
2.457 3.866 0.528
2.457 4.014 5.491
2.816 2.240 9.178
2.816 5.640 8.880
3.854 0.513 0.619
3.854 7.367 5.400
3.866 2.457 8.501
3.866 5.423 9.557
4.014 2.457 3.538
4.014 5.423 2.481
4.027 0.513 11.420
4.027 7.367 6.638
5.064 2.240 2.861
5.064 5.640 3.159
5.423 3.866 11.511
5.423 4.014 6.548
5.640 2.816 0.149
5.640 5.064 5.870
6.471 1.409 7.524
6.471 6.471 10.534
6.731 0.532 5.230
6.731 7.348 0.789
7.348 1.149 9.818
7.348 6.731 8.240
7.367 3.854 3.629
7.367 4.027 2.391
```

Most intense lines, 2θ = 10–90°, by intensity:
two_theta  I_rel
29.37  100
11.23  92
13.43  48
29.68  48
26.35  46
27.05  44
33.85  35
15.91  35
17.54  30
36.04  29


Simulated powder diffraction line list
Compound: NaSrSmSeO6
Radiation: CuKα
Structure: a GGA-PBE-relaxed structure
Peak positions follow from Bragg's law for the DFT cell and can differ from measured ones.

Structural model:
```
NaSrSmSeO6
1.0
0.000 4.079 4.079
4.079 0.000 4.079
4.079 4.079 0.000
Na Sr Sm Se O
1 1 1 1 6
Cartesian
0.000 0.000 0.000
4.079 4.079 4.079
6.118 6.118 6.118
2.039 2.039 2.039
2.039 2.039 0.216
2.039 0.216 2.039
3.862 2.039 2.039
0.216 2.039 2.039
2.039 3.862 2.039
2.039 2.039 3.862
```

Most intense lines, 2θ = 10–90°, by intensity:
two_theta  I_rel
31.01  100
55.16  38
44.42  35
21.79  30
64.63  20
73.41  18
18.84  15
36.53  13
50.00  11
48.65  8


Simulated powder diffraction line list
Compound: NaSrTbSeO6
Radiation: CuKα
Structure: a GGA-PBE-relaxed structure
Peak positions follow from Bragg's law for the DFT cell and can differ from measured ones.

Structural model:
```
NaSrTbSeO6
1.0
0.000 4.035 4.035
4.035 0.000 4.035
4.035 4.035 0.000
Na Sr Tb Se O
1 1 1 1 6
Cartesian
0.000 0.000 0.000
4.035 4.035 4.035
2.018 2.018 2.018
6.053 6.053 6.053
6.053 6.053 4.231
6.053 4.231 6.053
7.875 6.053 6.053
4.231 6.053 6.053
6.053 7.875 6.053
6.053 6.053 7.875
```

Most intense lines, 2θ = 10–90°, by intensity:
two_theta  I_rel
31.35  100
55.80  39
44.93  34
22.03  31
65.41  20
74.33  18
19.05  17
36.94  14
50.58  12
49.21  8


Simulated powder diffraction line list
Compound: NaYSe2O6
Radiation: CuKα
Structure: a GGA-PBE-relaxed structure
Peak positions follow from Bragg's law for the DFT cell and can differ from measured ones.

Structural model:
```
NaYSe2O6
1.0
12.965 0.000 0.000
0.000 8.708 0.000
0.000 0.000 5.476
Na Y Se O
4 4 8 24
Cartesian
1.527 0.087 0.000
4.955 4.441 2.738
8.010 4.267 0.000
11.438 8.621 2.738
1.120 5.878 2.467
5.362 1.524 5.205
7.603 7.183 2.467
11.845 2.829 5.205
1.037 2.321 2.752
2.627 4.091 5.235
3.855 8.445 2.497
5.446 6.674 0.014
7.519 2.033 2.752
9.110 0.263 5.235
10.338 4.617 2.497
11.928 6.387 0.014
0.172 1.320 3.855
0.209 3.807 3.221
0.334 1.914 1.240
2.256 7.860 2.221
2.618 5.466 4.190
2.790 4.780 1.346
3.693 0.427 4.084
3.865 1.112 1.452
4.226 3.507 4.959
6.149 6.268 3.978
6.273 8.161 0.483
6.310 5.674 1.117
6.655 3.034 3.855
6.692 0.546 3.221
6.816 2.440 1.240
8.739 5.201 2.221
9.101 7.595 4.190
9.273 8.281 1.346
10.175 3.927 4.084
10.347 3.242 1.452
10.709 0.847 4.959
12.631 6.794 3.978
12.756 4.900 0.483
12.793 7.388 1.117
```

Most intense lines, 2θ = 10–90°, by intensity:
two_theta  I_rel
29.61  100
24.63  64
32.09  60
28.23  59
12.24  37
21.24  34
46.98  30
32.71  30
58.41  25
35.67  23


Simulated powder diffraction line list
Compound: NaYSe4O12
Radiation: CuKα
Structure: a GGA-PBE-relaxed structure
Peak positions follow from Bragg's law for the DFT cell and can differ from measured ones.

Structural model:
```
NaYSe4O12
1.0
5.395 0.000 0.000
0.000 5.395 0.000
0.000 0.000 7.626
Na Y Se O
1 1 4 12
Cartesian
0.000 0.000 0.000
2.698 2.698 3.813
0.000 2.698 1.874
0.000 2.698 5.752
2.698 0.000 1.874
2.698 0.000 5.752
0.000 2.698 0.000
0.000 2.698 3.813
1.400 1.400 2.068
1.400 1.400 5.558
1.400 3.996 2.068
1.400 3.996 5.558
2.698 0.000 0.000
2.698 0.000 3.813
3.996 1.400 2.068
3.996 1.400 5.558
3.996 3.996 2.068
3.996 3.996 5.558
```

Most intense lines, 2θ = 10–90°, by intensity:
two_theta  I_rel
33.22  100
23.32  70
47.68  49
59.35  40
69.73  27
53.73  25
20.16  24
79.45  17
39.16  12
74.65  11


Simulated powder diffraction line list
Compound: NaZn2Se2O7
Radiation: CuKα
Structure: a GGA-PBE-relaxed structure
Peak positions follow from Bragg's law for the DFT cell and can differ from measured ones.

Structural model:
```
NaZn2Se2O7
1.0
13.564 0.000 0.000
0.000 6.273 0.000
0.000 0.000 8.353
Na Zn Se O
4 8 8 28
Cartesian
3.355 1.568 1.136
3.427 4.705 5.313
10.137 1.568 3.041
10.209 4.705 7.217
0.000 0.000 4.177
0.000 3.137 4.177
1.522 1.568 6.504
5.260 4.705 2.328
6.782 0.000 0.000
6.782 3.137 0.000
8.304 1.568 6.026
12.042 4.705 1.849
0.333 4.705 7.398
2.339 4.705 2.271
4.443 1.568 6.447
6.449 1.568 3.222
7.115 4.705 5.132
9.121 4.705 1.906
11.225 1.568 6.082
13.231 1.568 0.955
0.214 3.349 6.315
0.214 6.060 6.315
1.115 1.568 4.521
1.220 1.568 0.205
1.549 4.705 3.865
3.302 0.299 6.640
3.302 2.837 6.640
3.480 3.436 2.463
3.480 5.974 2.463
5.233 1.568 8.042
5.563 4.705 4.381
5.667 4.705 0.345
6.569 0.213 2.139
6.569 2.924 2.139
6.996 3.349 6.215
6.996 6.060 6.215
7.897 1.568 8.008
8.002 1.568 3.972
8.332 4.705 0.312
10.084 0.299 5.890
10.084 2.837 5.890
10.262 3.436 1.714
10.262 5.974 1.714
12.015 1.568 4.488
12.345 4.705 8.149
12.449 4.705 3.832
13.351 0.213 2.038
13.351 2.924 2.038
```

Most intense lines, 2θ = 10–90°, by intensity:
two_theta  I_rel
31.85  100
13.05  99
28.43  91
22.04  66
17.68  64
25.04  63
31.16  62
35.27  59
26.47  53
36.49  50